This entry pairs a crystal structure of Ti4ZnO9 with its computed powder diffraction line list. Radiation: Cu Ka. Structure: a DFT-relaxed cell (GGA-PBE, the Materials Project).
Kinematic intensities with the Lorentz-polarization factor, no thermal factor.

Structure:
```
data_Ti4ZnO9
_chemical_formula_sum 'Ti8 Zn2 O18'
_space_group_name_H-M_alt 'P 4/n'
_space_group_IT_number 85
_cell_length_a 8.5151
_cell_length_b 8.5151
_cell_length_c 5.0172
_cell_angle_alpha 90.00
_cell_angle_beta 90.00
_cell_angle_gamma 90.00
loop_
_space_group_symop_operation_xyz
'x,y,z'
'-x,-y,-z'
'-y+1/2,x,z'
'y+1/2,-x,-z'
'-x+1/2,-y+1/2,z'
'x+1/2,y+1/2,-z'
'y,-x+1/2,z'
'-y,x+1/2,-z'
loop_
_atom_site_label
_atom_site_fract_x
_atom_site_fract_y
_atom_site_fract_z
Ti1 0.0303 0.6610 0.1233
Zn1 0.2500 0.2500 0.4649
O1 0.0226 0.3162 0.5509
O2 0.0402 0.1426 0.0251
O3 0.2500 0.7500 0.0000
```

Peak list (10 most intense, 2θ from 10° to 80°, in order of falling intensity)
(2 1 1), 29.45 deg, I 1000
(1 1 1), 23.07 deg, I 778
(1 3 0), 33.27 deg, I 623
(4 2 0), 47.77 deg, I 538
(2 0 1), 27.48 deg, I 448
(0 0 1), 17.68 deg, I 290
(2 1 2), 43.18 deg, I 261
(1 3 3), 65.73 deg, I 234
(0 0 2), 35.79 deg, I 229
(1 1 0), 14.71 deg, I 201